Entry 1:
Starting from DFT lattice parameters and positions (GGA-PBE), the X-ray powder pattern of ScTi2Sn2 was simulated for a wavelength of 1.5418 Å.
Intensities are scaled so that the largest is 100.

Structure:
Unit cell a=8.2177 b=8.2177 c=3.0754 alpha=90.00 beta=90.00 gamma=90.00
Space group P4/mbm (No. 127)
One atom of each set of equivalent atoms:
Sc1 0.0000 0.0000 0.0000 [2 per cell]
Ti1 0.1143 0.3857 0.0000 [4 per cell]
Sn1 0.1805 0.6805 0.5000 [4 per cell]

Peak list (6 most intense, 2θ from 15° to 90°, low angle first)
2theta, Rel. int.
24.2, 33
34.5, 42
36.5, 49
38.2, 100
45.5, 31
54.9, 28

---

Entry 2:
Starting from DFT lattice parameters and positions (GGA-PBE), the X-ray powder pattern of ScTi6Sn4 was simulated for a wavelength of 1.5418 Å.
Intensities are scaled so that the largest is 100.

Structure:
Unit cell a=7.0063 b=7.0063 c=10.4306 alpha=90.00 beta=90.00 gamma=90.00
Space group I-42m (No. 121)
One atom of each set of equivalent atoms:
Sc1 0.0000 0.0000 0.0000 [2 per cell]
Ti1 0.0000 0.5000 0.0000 [4 per cell]
Ti2 0.1473 0.1473 0.6042 [8 per cell]
Sn1 0.2450 0.2450 0.3534 [8 per cell]

Peak list (6 most intense, 2θ from 15° to 90°, low angle first)
2theta, Rel. int.
24.8, 100
25.4, 60
36.3, 64
43.3, 68
44.4, 98
70.9, 33

---

Entry 3:
Starting from DFT lattice parameters and positions (GGA-PBE), the X-ray powder pattern of ScTlSn was simulated for a wavelength of 1.5418 Å.
Intensities are scaled so that the largest is 100.

Structure:
Unit cell a=10.8313 b=4.3720 c=6.3768 alpha=90.00 beta=102.88 gamma=90.00
Space group Cm (No. 8)
One atom of each set of equivalent atoms:
Sc1 0.0000 0.0000 0.0000 [2 per cell]
Sc2 0.2176 0.5000 0.3568 [2 per cell]
Tl1 0.0444 0.0000 0.4979 [2 per cell]
Tl2 0.3646 0.0000 0.6740 [2 per cell]
Sn1 0.1766 0.5000 0.8555 [2 per cell]
Sn2 0.3545 0.0000 0.1714 [2 per cell]

Peak list (6 most intense, 2θ from 15° to 90°, low angle first)
2theta, Rel. int.
25.2, 24
32.7, 100
34.9, 88
36.7, 38
39.6, 27
41.3, 29